No. 1
Structure and simulated X-ray powder pattern of ScHgW4 (a structure optimized by DFT (GGA-PBE); Cu Kα).
Neutral-atom scattering factors, no anomalous dispersion.

Cell and atoms:
abc: 7.623 7.623 7.623
angles: 90.00 90.00 90.00
Space group F-43m (No. 216)
Inequivalent atoms, fractional coordinates:
Sc  0.000  0.000  0.000 (multiplicity 4)
Hg  0.250  0.250  0.250 (multiplicity 4)
W  0.125  0.125  0.625 (multiplicity 16)

Largest 10 diffraction maxima, by angle, 2θ = 10–90°:
Position (°2θ)	I/Imax	index
20.18	283	1 1 1
23.34	72	2 0 0
33.24	157	2 2 0
39.20	1000	3 1 1
41.02	539	2 2 2
47.72	111	4 0 0
63.40	328	3 3 3
69.79	291	4 4 0
83.09	118	5 3 3
84.26	211	6 2 2



No. 2
Structure and simulated X-ray powder pattern of Y2ScHg6 (a structure optimized by DFT (GGA-PBE); Cu Kα).
Neutral-atom scattering factors, no anomalous dispersion.

Cell and atoms:
abc: 5.426 17.225 5.357
angles: 90.00 119.38 90.00
Space group C2/m (No. 12)
Inequivalent atoms, fractional coordinates:
Y  0.000  0.169  0.000 (multiplicity 4)
Sc  0.000  0.000  0.500 (multiplicity 2)
Hg  0.167  0.338  0.334 (multiplicity 8)
Hg  0.167  0.500  0.834 (multiplicity 4)

Largest 10 diffraction maxima, by angle, 2θ = 10–90°:
Position (°2θ)	I/Imax	index
24.62	177	1 3 -1
31.15	752	0 6 0
33.87	550	1 1 -2
34.67	459	2 2 -1
36.55	1000	1 3 1
39.26	411	2 4 -1
42.77	225	1 5 -2
50.36	249	1 7 -2
59.01	244	1 9 1
61.97	217	3 3 -3



No. 3
Structure and simulated X-ray powder pattern of YScHg (a structure optimized by DFT (GGA-PBE); Cu Kα).
Neutral-atom scattering factors, no anomalous dispersion.

Cell and atoms:
abc: 5.137 3.685 8.399
angles: 90.00 107.74 90.00
Space group Pm (No. 6)
Inequivalent atoms, fractional coordinates:
Y  0.000  0.000  0.000 (multiplicity 1)
Y  0.331  0.000  0.661 (multiplicity 1)
Sc  0.514  0.500  0.028 (multiplicity 1)
Sc  0.680  0.000  0.356 (multiplicity 1)
Hg  0.159  0.500  0.314 (multiplicity 1)
Hg  0.845  0.500  0.690 (multiplicity 1)

Largest 10 diffraction maxima, by angle, 2θ = 10–90°:
Position (°2θ)	I/Imax	index
18.14	227	1 0 -1
24.05	118	1 0 1
33.05	110	0 1 2
33.61	241	0 0 3
34.35	1000	1 1 1
34.94	246	2 0 -1
49.26	162	2 0 2
60.57	147	1 1 4
62.27	175	3 1 0
72.39	102	2 2 2



No. 4
Structure and simulated X-ray powder pattern of YScHg (a structure optimized by DFT (GGA-PBE); Cu Kα).
Neutral-atom scattering factors, no anomalous dispersion.

Cell and atoms:
abc: 11.976 3.510 8.934
angles: 90.00 124.53 90.00
Space group Cm (No. 8)
Inequivalent atoms, fractional coordinates:
Y  0.000  0.000  0.000 (multiplicity 2)
Y  0.179  0.000  0.631 (multiplicity 2)
Sc  0.405  0.000  0.263 (multiplicity 2)
Sc  0.443  0.000  0.630 (multiplicity 2)
Hg  0.210  0.500  0.346 (multiplicity 2)
Hg  0.216  0.500  0.957 (multiplicity 2)

Largest 10 diffraction maxima, by angle, 2θ = 10–90°:
Position (°2θ)	I/Imax	index
17.98	793	2 0 0
26.96	445	1 1 0
30.09	411	4 0 -2
31.70	405	1 1 1
32.79	1000	1 1 -2
33.92	542	4 0 -3
35.19	368	3 1 -2
36.43	433	4 0 0
36.63	464	0 0 3
37.47	504	3 1 0



No. 5
Structure and simulated X-ray powder pattern of Y5ScHg6 (a structure optimized by DFT (GGA-PBE); Cu Kα).
Neutral-atom scattering factors, no anomalous dispersion.

Cell and atoms:
abc: 5.205 15.698 7.416
angles: 90.00 90.00 90.00
Space group Cmmm (No. 65)
Inequivalent atoms, fractional coordinates:
Y  0.000  0.000  0.000 (multiplicity 2)
Y  0.000  0.331  0.000 (multiplicity 4)
Y  0.000  0.335  0.500 (multiplicity 4)
Sc  0.000  0.000  0.500 (multiplicity 2)
Hg  0.000  0.162  0.257 (multiplicity 8)
Hg  0.000  0.500  0.257 (multiplicity 4)

Largest 10 diffraction maxima, by angle, 2θ = 10–90°:
Position (°2θ)	I/Imax	index
24.00	80	0 0 2
24.12	159	1 3 0
34.28	1000	1 3 2
34.46	199	2 0 0
49.14	72	0 0 4
49.39	142	2 6 0
61.28	73	0 6 4
61.39	218	2 0 4
61.62	147	3 3 2
72.23	112	2 6 4



No. 6
Structure and simulated X-ray powder pattern of YScZnHg (a structure optimized by DFT (GGA-PBE); Cu Kα).
Neutral-atom scattering factors, no anomalous dispersion.

Cell and atoms:
abc: 3.509 3.509 7.216
angles: 90.00 90.00 90.00
Space group P4mm (No. 99)
Inequivalent atoms, fractional coordinates:
Y  0.000  0.000  0.000 (multiplicity 1)
Sc  0.000  0.000  0.467 (multiplicity 1)
Zn  0.500  0.500  0.257 (multiplicity 1)
Hg  0.500  0.500  0.711 (multiplicity 1)

Largest 10 diffraction maxima, by angle, 2θ = 10–90°:
Position (°2θ)	I/Imax	index
12.27	237	0 0 1
25.38	137	1 0 0
28.28	318	1 0 1
35.69	1000	1 0 2
36.20	514	1 1 0
52.12	178	2 0 0
53.02	106	1 1 3
63.79	146	1 1 4
64.78	342	2 1 2
75.60	89	2 0 4



No. 7
Structure and simulated X-ray powder pattern of Sc6ZnHg3 (a structure optimized by DFT (GGA-PBE); Cu Kα).
Neutral-atom scattering factors, no anomalous dispersion.

Cell and atoms:
abc: 8.578 4.929 10.776
angles: 90.00 107.96 90.00
Space group P2_1/m (No. 11)
Inequivalent atoms, fractional coordinates:
Sc  0.035  0.250  0.411 (multiplicity 2)
Sc  0.165  0.750  0.175 (multiplicity 2)
Sc  0.270  0.250  0.008 (multiplicity 2)
Sc  0.349  0.750  0.819 (multiplicity 2)
Sc  0.367  0.250  0.332 (multiplicity 2)
Sc  0.397  0.250  0.624 (multiplicity 2)
Zn  0.456  0.750  0.107 (multiplicity 2)
Hg  0.023  0.750  0.877 (multiplicity 2)
Hg  0.123  0.250  0.722 (multiplicity 2)
Hg  0.281  0.750  0.473 (multiplicity 2)

Largest 10 diffraction maxima, by angle, 2θ = 10–90°:
Position (°2θ)	I/Imax	index
10.84	229	1 0 0
15.83	94	1 0 1
25.10	476	1 1 -2
25.87	182	2 0 1
35.14	190	2 0 -4
36.37	1000	1 1 3
36.46	316	0 2 0
39.75	122	2 1 -4
51.54	125	2 2 -4
65.56	192	1 3 3



No. 8
Structure and simulated X-ray powder pattern of Sc3Zn2Hg3 (a structure optimized by DFT (GGA-PBE); Cu Kα).
Neutral-atom scattering factors, no anomalous dispersion.

Cell and atoms:
abc: 7.3079 7.3079 3.5247
angles: 90.00 90.00 120.00
Space group P-62m (No. 189)
Inequivalent atoms, fractional coordinates:
Sc  0.0000  0.3979  0.0000 (multiplicity 3)
Zn  0.3333  0.6667  0.5000 (multiplicity 2)
Hg  0.0000  0.7532  0.5000 (multiplicity 3)

Largest 10 diffraction maxima, by angle, 2θ = 10–90°:
Position (°2θ)	I/Imax	index
13.99	191	1 0 0
24.36	486	1 1 0
25.27	564	0 0 1
35.38	940	1 1 1
37.60	1000	2 1 0
38.22	370	2 0 1
45.85	763	2 1 1
64.56	221	4 0 1
65.82	388	2 1 2
70.09	285	3 2 1



No. 9
Structure and simulated X-ray powder pattern of Sc6Zn5Hg (a structure optimized by DFT (GGA-PBE); Cu Kα).
Neutral-atom scattering factors, no anomalous dispersion.

Cell and atoms:
abc: 4.771 14.348 6.773
angles: 90.00 90.00 90.00
Space group Cmmm (No. 65)
Inequivalent atoms, fractional coordinates:
Sc  0.000  0.000  0.241 (multiplicity 4)
Sc  0.000  0.330  0.245 (multiplicity 8)
Zn  0.000  0.166  0.000 (multiplicity 4)
Zn  0.000  0.169  0.500 (multiplicity 4)
Zn  0.000  0.500  0.000 (multiplicity 2)
Hg  0.000  0.500  0.500 (multiplicity 2)

Largest 10 diffraction maxima, by angle, 2θ = 10–90°:
Position (°2θ)	I/Imax	index
12.34	46	0 2 0
23.64	56	1 1 1
26.36	151	0 0 2
37.63	1000	2 0 0
46.53	48	0 6 2
54.17	55	0 0 4
54.32	109	2 6 0
67.87	214	2 0 4
68.01	107	3 3 2
80.29	82	2 6 4



No. 10
Structure and simulated X-ray powder pattern of ZrScHg4 (a structure optimized by DFT (GGA-PBE); Cu Kα).
Neutral-atom scattering factors, no anomalous dispersion.

Cell and atoms:
abc: 3.298 3.298 12.143
angles: 90.00 90.00 90.00
Space group P4/mmm (No. 123)
Inequivalent atoms, fractional coordinates:
Zr  0.000  0.000  0.000 (multiplicity 1)
Sc  0.500  0.500  0.500 (multiplicity 1)
Hg  0.000  0.000  0.340 (multiplicity 2)
Hg  0.500  0.500  0.164 (multiplicity 2)

Largest 10 diffraction maxima, by angle, 2θ = 10–90°:
Position (°2θ)	I/Imax	index
14.59	104	0 0 2
28.03	159	1 0 1
35.09	1000	1 0 3
38.60	389	1 1 0
44.78	126	0 0 6
55.74	135	2 0 0
60.57	204	1 1 6
67.59	301	2 1 3
74.17	113	2 0 6
76.24	102	1 0 9



No. 11
Structure and simulated X-ray powder pattern of Zr2ScHg5 (a structure optimized by DFT (GGA-PBE); Cu Kα).
Neutral-atom scattering factors, no anomalous dispersion.

Cell and atoms:
abc: 4.660 4.660 16.021
angles: 90.00 90.00 90.00
Space group I4/mmm (No. 139)
Inequivalent atoms, fractional coordinates:
Zr  0.000  0.000  0.247 (multiplicity 4)
Sc  0.000  0.000  0.500 (multiplicity 2)
Hg  0.000  0.000  0.000 (multiplicity 2)
Hg  0.000  0.500  0.125 (multiplicity 8)

Largest 10 diffraction maxima, by angle, 2θ = 10–90°:
Position (°2θ)	I/Imax	index
22.19	68	0 0 4
27.06	86	1 1 0
35.27	1000	1 1 4
38.64	391	2 0 0
45.28	125	0 0 8
55.80	135	2 2 0
61.01	206	2 0 8
67.75	302	3 1 4
74.59	115	2 2 8
77.07	105	1 1 12



No. 12
Structure and simulated X-ray powder pattern of ZrSc4Hg3 (a structure optimized by DFT (GGA-PBE); Cu Kα).
Neutral-atom scattering factors, no anomalous dispersion.

Cell and atoms:
abc: 3.398 3.398 15.438
angles: 90.00 90.00 90.00
Space group P4/mmm (No. 123)
Inequivalent atoms, fractional coordinates:
Zr  0.000  0.000  0.000 (multiplicity 1)
Sc  0.500  0.500  0.135 (multiplicity 2)
Sc  0.500  0.500  0.380 (multiplicity 2)
Hg  0.000  0.000  0.257 (multiplicity 2)
Hg  0.000  0.000  0.500 (multiplicity 1)

Largest 10 diffraction maxima, by angle, 2θ = 10–90°:
Position (°2θ)	I/Imax	index
23.04	248	0 0 4
26.23	368	1 0 0
35.19	1000	1 0 4
37.43	431	1 1 0
44.42	191	1 1 4
53.97	148	2 0 0
54.70	103	1 0 8
61.65	182	1 1 8
66.08	313	2 1 4
74.40	105	2 0 8